(1)
NaCa5ScZn5Si12O36: computed powder X-ray diffraction pattern (a wavelength of 1.5418 Å), based on the GGA-PBE geometry in the Materials Project.

Largest 10 diffraction maxima, low angle first, 2θ = 10–80°:
(1 1 0), 2θ = 13.48°, I 31; (2 2 -3), 2θ = 29.41°, I 100; (3 1 0), 2θ = 29.62°, I 39; (1 3 -3), 2θ = 34.58°, I 34; (0 0 6), 2θ = 35.10°, I 88; (3 3 -3), 2θ = 41.69°, I 24; (1 5 0), 2θ = 51.59°, I 16; (5 3 -3), 2θ = 55.45°, I 15; (2 2 -9), 2θ = 55.86°, I 19; (5 3 3), 2θ = 64.28°, I 18

```
data_NaCa5ScZn5Si12O36
_chemical_formula_sum 'Na2 Ca10 Sc2 Zn10 Si24 O72'
_cell_length_a 9.986
_cell_length_b 9.012
_cell_length_c 15.969
_cell_angle_alpha 90.00
_cell_angle_beta 105.96
_cell_angle_gamma 90.00
_symmetry_space_group_name_H-M 'C 1 2 1'
_symmetry_Int_Tables_number 5
_symmetry_space_group_name_Hall 'C 2y'
loop_
_atom_site_label
_atom_site_type_symbol
_atom_site_fract_x
_atom_site_fract_y
_atom_site_fract_z
Na1 Na 0.000 0.000 0.000
Ca1 Ca 0.000 0.600 0.500
Ca2 Ca 0.000 0.604 0.169
Ca3 Ca 0.002 0.002 0.665
Sc1 Sc 0.000 0.386 0.000
Zn1 Zn 0.000 0.210 0.500
Zn2 Zn 0.001 0.196 0.833
Zn3 Zn 0.001 0.396 0.668
Si1 Si 0.209 0.709 0.005
Si2 Si 0.212 0.891 0.837
Si3 Si 0.213 0.711 0.338
Si4 Si 0.213 0.895 0.505
Si5 Si 0.213 0.897 0.170
Si6 Si 0.214 0.707 0.671
O1 O 0.117 0.211 0.299
O2 O 0.117 0.389 0.800
O3 O 0.118 0.213 0.632
O4 O 0.118 0.391 0.131
O5 O 0.118 0.392 0.465
O6 O 0.121 0.215 0.965
O7 O 0.132 0.552 0.976
O8 O 0.138 0.052 0.475
O9 O 0.139 0.554 0.307
O10 O 0.140 0.048 0.806
O11 O 0.140 0.550 0.640
O12 O 0.146 0.057 0.143
O13 O 0.149 0.781 0.084
O14 O 0.150 0.781 0.749
O15 O 0.150 0.784 0.416
O16 O 0.150 0.814 0.914
O17 O 0.150 0.820 0.583
O18 O 0.150 0.823 0.250
```



(2)
NaCa3ScZn3Si8O24: computed powder X-ray diffraction pattern (a wavelength of 1.5418 Å), based on the GGA-PBE geometry in the Materials Project.

Largest 10 diffraction maxima, low angle first, 2θ = 10–80°:
(0 1 1), 2θ = 13.43°, I 33; (1 2 1), 2θ = 29.28°, I 100; (0 1 3), 2θ = 29.70°, I 40; (1 3 0), 2θ = 34.32°, I 34; (2 0 -2), 2θ = 35.07°, I 86; (1 3 2), 2θ = 41.50°, I 24; (0 5 1), 2θ = 51.10°, I 16; (3 2 -1), 2θ = 55.68°, I 18; (3 3 -2), 2θ = 60.65°, I 16; (1 3 -6), 2θ = 64.35°, I 18

```
data_NaCa3ScZn3Si8O24
_chemical_formula_sum 'Na1 Ca3 Sc1 Zn3 Si8 O24'
_cell_length_a 5.332
_cell_length_b 9.097
_cell_length_c 9.898
_cell_angle_alpha 90.00
_cell_angle_beta 104.99
_cell_angle_gamma 90.00
_symmetry_space_group_name_H-M 'P 1 2 1'
_symmetry_Int_Tables_number 3
_symmetry_space_group_name_Hall 'P 2y'
loop_
_atom_site_label
_atom_site_type_symbol
_atom_site_fract_x
_atom_site_fract_y
_atom_site_fract_z
Na1 Na 0.000 0.000 0.000
Ca1 Ca 0.000 0.900 0.500
Ca2 Ca 0.500 0.393 0.000
Ca3 Ca 0.500 0.492 0.500
Sc1 Sc 0.500 0.800 0.000
Zn1 Zn 0.000 0.291 0.500
Zn2 Zn 0.000 0.597 0.000
Zn3 Zn 0.500 0.101 0.500
Si1 Si 0.194 0.287 0.212
Si2 Si 0.195 0.604 0.712
Si3 Si 0.304 0.106 0.787
Si4 Si 0.304 0.789 0.287
O1 O 0.100 0.680 0.349
O2 O 0.102 0.215 0.849
O3 O 0.210 0.443 0.139
O4 O 0.211 0.449 0.639
O5 O 0.221 0.106 0.617
O6 O 0.225 0.781 0.117
O7 O 0.278 0.285 0.383
O8 O 0.281 0.610 0.883
O9 O 0.289 0.943 0.362
O10 O 0.298 0.948 0.860
O11 O 0.399 0.713 0.650
O12 O 0.404 0.182 0.151
```



(3)
Na3CaSc3ZnSi8O24: computed powder X-ray diffraction pattern (a wavelength of 1.5418 Å), based on the GGA-PBE geometry in the Materials Project.

Largest 10 diffraction maxima, low angle first, 2θ = 10–80°:
(0 1 1), 2θ = 13.43°, I 22; (1 2 1), 2θ = 29.10°, I 100; (0 1 3), 2θ = 29.75°, I 41; (1 3 0), 2θ = 34.14°, I 23; (2 0 -2), 2θ = 34.86°, I 39; (1 2 -3), 2θ = 35.13°, I 38; (2 1 -3), 2θ = 40.07°, I 14; (1 3 2), 2θ = 41.31°, I 19; (3 2 -1), 2θ = 55.21°, I 32; (1 3 -6), 2θ = 64.52°, I 26

```
data_Na3CaSc3ZnSi8O24
_chemical_formula_sum 'Na3 Ca1 Sc3 Zn1 Si8 O24'
_cell_length_a 5.377
_cell_length_b 9.127
_cell_length_c 9.860
_cell_angle_alpha 90.00
_cell_angle_beta 104.67
_cell_angle_gamma 90.00
_symmetry_space_group_name_H-M 'P 1 2 1'
_symmetry_Int_Tables_number 3
_symmetry_space_group_name_Hall 'P 2y'
loop_
_atom_site_label
_atom_site_type_symbol
_atom_site_fract_x
_atom_site_fract_y
_atom_site_fract_z
Na1 Na 0.000 0.000 0.000
Na2 Na 0.000 0.106 0.500
Na3 Na 0.500 0.611 0.000
Ca1 Ca 0.500 0.509 0.500
Sc1 Sc 0.000 0.412 0.000
Sc2 Sc 0.500 0.198 0.000
Sc3 Sc 0.500 0.907 0.500
Zn1 Zn 0.000 0.707 0.500
Si1 Si 0.198 0.395 0.710
Si2 Si 0.200 0.718 0.210
Si3 Si 0.299 0.216 0.289
Si4 Si 0.299 0.892 0.789
O1 O 0.087 0.795 0.849
O2 O 0.091 0.318 0.350
O3 O 0.198 0.557 0.140
O4 O 0.208 0.552 0.638
O5 O 0.223 0.226 0.118
O6 O 0.225 0.888 0.618
O7 O 0.276 0.384 0.882
O8 O 0.283 0.720 0.382
O9 O 0.300 0.057 0.360
O10 O 0.302 0.053 0.860
O11 O 0.412 0.816 0.150
O12 O 0.415 0.296 0.650
```